Theoretical powder diffractogram of CaNiGe2 for Cu Ka, from a structure optimized by DFT (GGA-PBE).

Lattice parameters (Å, degrees): 4.231 17.339 4.079 90.00 90.00 90.00
Space group Cmcm (No. 63)
Symmetry-distinct sites (fractional):
Ca  0.000  0.109  0.250 x4
Ni  0.000  0.322  0.250 x4
Ge  0.000  0.250  0.750 x4
Ge  0.000  0.457  0.250 x4

Most intense lines, 10 to 90 degrees two-theta, low angle first:
2θ (°)	intensity	(hkl)
10.20	33	0 2 0
21.62	31	1 1 0
34.25	100	1 3 1
42.74	37	2 0 0
44.42	33	0 0 2
48.05	47	1 7 1

=====

Theoretical powder diffractogram of CaNiGe for Cu Ka, from a structure optimized by DFT (GGA-PBE).

Lattice parameters (Å, degrees): 4.197 4.197 6.624 90.00 90.00 90.00
Space group P4/nmm (No. 129, origin choice 2)
Symmetry-distinct sites (fractional):
Ca  0.250  0.250  0.177 x2
Ni  0.250  0.750  0.500 x2
Ge  0.250  0.250  0.687 x2

Most intense lines, 10 to 90 degrees two-theta, low angle first:
2θ (°)	intensity	(hkl)
13.37	100	0 0 1
34.49	54	1 0 2
40.83	92	1 1 2
43.11	62	2 0 0
56.34	25	2 1 2
77.47	25	3 1 2

=====

Theoretical powder diffractogram of Ca2Ni3Ge2 for Cu Ka, from a structure optimized by DFT (GGA-PBE).

Lattice parameters (Å, degrees): 9.043 3.993 7.029 90.00 90.00 90.00
Space group Pmma (No. 51)
Symmetry-distinct sites (fractional):
Ca  0.000  0.000  0.000 x2
Ca  0.250  0.500  0.331 x2
Ni  0.073  0.500  0.653 x4
Ni  0.250  0.000  0.685 x2
Ge  0.000  0.000  0.500 x2
Ge  0.250  0.500  0.900 x2

Most intense lines, 10 to 90 degrees two-theta, low angle first:
2θ (°)	intensity	(hkl)
12.59	56	0 0 1
15.97	100	1 0 1
32.27	27	2 0 2
39.57	95	2 1 2
45.43	48	0 2 0
45.70	76	3 1 2